1.
Theoretical powder X-ray diffraction pattern of Ba3TiN3 for Cu Kα (λ = 1.5418 Å), from a GGA-PBE-relaxed structure.
Neutral-atom scattering factors, no anomalous dispersion.

Main lines, sorted by position (2θ from 15° to 90°):
Position (°2θ), I_rel, h k l
17.28, 27.3, 1 1 0
26.41, 100.0, 1 1 1
30.17, 60.8, 3 0 0
40.25, 11.8, 0 0 2
40.52, 41.6, 2 2 1
51.12, 27.3, 3 0 2
51.34, 31.8, 1 4 1
53.58, 11.1, 3 3 0
69.09, 10.4, 3 3 2
69.28, 12.6, 2 5 1

a = 10.262 Å, b = 10.262 Å, c = 4.481 Å
α = 90.00°, β = 90.00°, γ = 120.00°
Sites, in units of the cell vectors:
Ba  0.005  0.347  0.250
Ba  0.342  0.995  0.250
Ba  0.347  0.342  0.750
Ba  0.653  0.658  0.250
Ba  0.658  0.005  0.750
Ba  0.995  0.653  0.750
Ti  0.333  0.667  0.750
Ti  0.667  0.333  0.250
N  0.149  0.484  0.750
N  0.335  0.851  0.750
N  0.484  0.335  0.250
N  0.516  0.665  0.750
N  0.665  0.149  0.250
N  0.851  0.516  0.250

2.
Theoretical powder X-ray diffraction pattern of Ag2BiO3 for Cu Kα (λ = 1.5418 Å), from a GGA-PBE-relaxed structure.
Neutral-atom scattering factors, no anomalous dispersion.

Main lines, sorted by position (2θ from 15° to 90°):
Position (°2θ), I_rel, h k l
26.92, 44.0, 1 1 1
27.53, 41.1, 1 1 -3
30.66, 32.2, 1 0 2
30.81, 28.2, 0 1 3
31.48, 30.5, 1 0 -4
32.91, 35.8, 1 2 0
33.17, 36.1, 1 2 -2
33.57, 100.0, 0 2 2
34.03, 54.2, 2 1 -3
55.49, 24.4, 2 2 2

a = 6.124 Å, b = 6.359 Å, c = 11.385 Å
α = 90.00°, β = 120.76°, γ = 90.00°
Sites, in units of the cell vectors:
Ag  0.000  0.002  0.000
Ag  0.000  0.998  0.500
Ag  0.049  0.496  0.491
Ag  0.049  0.504  0.991
Ag  0.517  0.260  0.750
Ag  0.517  0.740  0.250
Ag  0.997  0.262  0.733
Ag  0.997  0.738  0.233
Bi  0.369  0.237  0.352
Bi  0.369  0.763  0.852
Bi  0.666  0.249  0.144
Bi  0.666  0.751  0.644
O  0.013  0.420  0.181
O  0.013  0.580  0.681
O  0.394  0.063  0.178
O  0.394  0.937  0.678
O  0.430  0.499  0.011
O  0.430  0.501  0.511
O  0.614  0.053  0.976
O  0.614  0.947  0.476
O  0.655  0.419  0.314
O  0.655  0.581  0.814
O  0.989  0.050  0.295
O  0.989  0.950  0.795

3.
Theoretical powder X-ray diffraction pattern of MgTi2N2 for Cu Kα (λ = 1.5418 Å), from a GGA-PBE-relaxed structure.
Neutral-atom scattering factors, no anomalous dispersion.

Main lines, sorted by position (2θ from 15° to 90°):
Position (°2θ), I_rel, h k l
22.92, 35.1, 0 0 2
28.43, 56.4, 1 0 0
30.72, 86.8, 1 0 1
34.67, 25.8, 0 0 3
36.82, 100.0, 1 0 2
40.64, 37.7, 1 1 0
45.42, 23.0, 1 0 3
54.46, 62.1, 1 1 3
58.82, 26.2, 2 0 0
71.45, 23.7, 2 1 2

a = 3.140 Å, b = 3.140 Å, c = 7.761 Å
α = 90.00°, β = 90.00°, γ = 90.00°
Sites, in units of the cell vectors:
Mg  0.000  0.000  0.000
Ti  0.500  0.500  0.314
Ti  0.500  0.500  0.686
N  0.000  0.500  0.824
N  0.500  0.000  0.176

4.
Theoretical powder X-ray diffraction pattern of P2Rh3 for Cu Kα (λ = 1.5418 Å), from a GGA-PBE-relaxed structure.
Neutral-atom scattering factors, no anomalous dispersion.

Main lines, sorted by position (2θ from 15° to 90°):
Position (°2θ), I_rel, h k l
26.48, 28.2, 1 0 0
30.12, 71.7, 1 0 1
37.80, 26.8, 1 1 0
39.22, 93.9, 1 0 2
40.53, 100.0, 1 1 1
47.95, 32.4, 1 1 2
51.37, 36.7, 1 0 3
54.53, 46.5, 2 0 0
69.20, 34.0, 2 1 2
71.99, 40.2, 2 0 3

a = 3.366 Å, b = 3.366 Å, c = 6.286 Å
α = 90.00°, β = 90.00°, γ = 90.00°
Sites, in units of the cell vectors:
P  0.000  0.500  0.244
P  0.500  0.000  0.756
Rh  0.000  0.000  0.500
Rh  0.000  0.500  0.868
Rh  0.500  0.000  0.132